Structure and simulated powder diffractogram of LiGaCo2O4 (a crystal structure in Alexandria, relaxed with GGA+U; Cu Ka).
Lines closer than 0.1° are merged.

Most intense lines, 2θ = 10–80°, most intense first:
index	Position (°2θ)	I_rel
2 0 2	42.84	1000
2 2 0	36.64	856
1 1 1	23.47	768
2 4 2	61.56	577
0 4 0	42.01	511
4 0 0	62.20	288
4 4 0	77.91	266
4 2 2	74.41	235
3 1 1	49.42	197
2 6 0	73.24	136
1 3 1	37.93	121
0 2 0	20.65	102

Structural model:
Cell lengths 5.9662, 8.6022, 5.9740 Å; angles 90.00, 90.00, 90.00 degrees
Space group Fmm2 (No. 42)
Unique sites:
Li 0.0000 0.0000 0.0000 x4
Ga 0.0000 0.0000 0.4952 x4
Co 0.2500 0.2500 0.2501 x8
O 0.0000 0.2267 0.5020 x8
O 0.2491 0.0000 0.2493 x8